Record 1
Starting from the GGA-PBE geometry in the Materials Project, the X-ray powder pattern of GaHO2 was calculated for Cu Kα X-rays.
Peak positions follow from Bragg's law for the DFT cell and can differ from measured ones.

Atomic structure:
a = 13.571 Å, b = 3.055 Å, c = 3.822 Å
α = 90.00°, β = 90.00°, γ = 90.00°
Space group Pnma (No. 62)
Asymmetric unit:
Ga 0.182 0.250 0.248
H 0.060 0.750 0.506
O 0.087 0.750 0.268
O 0.213 0.250 0.750

Main lines, by angle (5 to 70 degrees two-theta):
| d [Å] | I (rel.) |
| --- | --- |
| 6.786 | 100 |
| 3.330 | 49 |
| 2.786 | 17 |
| 2.537 | 13 |
| 2.386 | 8 |
| 2.270 | 43 |
| 2.251 | 14 |
| 1.911 | 13 |
| 1.642 | 18 |
| 1.462 | 18 |

Record 2
Starting from the GGA-PBE geometry in the Materials Project, the X-ray powder pattern of K2LiTmCl6 was calculated for Cu Kα X-rays.
Peak positions follow from Bragg's law for the DFT cell and can differ from measured ones.

Atomic structure:
a = 10.321 Å, b = 10.321 Å, c = 10.321 Å
α = 90.00°, β = 90.00°, γ = 90.00°
Space group Fm-3m (No. 225)
Asymmetric unit:
K 0.250 0.250 0.250
Li 0.000 0.000 0.000
Tm 0.000 0.000 0.500
Cl 0.000 0.000 0.249

Main lines, by angle (5 to 70 degrees two-theta):
| d [Å] | I (rel.) |
| --- | --- |
| 5.959 | 100 |
| 5.160 | 58 |
| 3.649 | 61 |
| 3.112 | 66 |
| 2.580 | 82 |
| 2.368 | 32 |
| 2.308 | 29 |
| 2.107 | 28 |
| 1.824 | 53 |
| 1.745 | 24 |

Record 3
Starting from the GGA-PBE geometry in the Materials Project, the X-ray powder pattern of BaCuO2 was calculated for Cu Kα X-rays.
Peak positions follow from Bragg's law for the DFT cell and can differ from measured ones.

Atomic structure:
a = 4.025 Å, b = 4.025 Å, c = 3.877 Å
α = 90.00°, β = 90.00°, γ = 90.00°
Space group P4/mmm (No. 123)
Asymmetric unit:
Ba 0.000 0.000 0.000
Cu 0.500 0.500 0.500
O 0.000 0.500 0.500

Main lines, by angle (5 to 70 degrees two-theta):
| d [Å] | I (rel.) |
| --- | --- |
| 4.025 | 12 |
| 2.846 | 36 |
| 2.792 | 100 |
| 2.294 | 13 |
| 2.012 | 25 |
| 1.939 | 11 |
| 1.633 | 39 |
| 1.602 | 13 |
| 1.423 | 8 |
| 1.396 | 14 |

Record 4
Starting from the GGA-PBE geometry in the Materials Project, the X-ray powder pattern of Cu2AgO4 was calculated for Cu Kα X-rays.
Peak positions follow from Bragg's law for the DFT cell and can differ from measured ones.

Atomic structure:
a = 3.737 Å, b = 4.788 Å, c = 5.264 Å
α = 82.63°, β = 88.32°, γ = 80.91°
Space group P-1 (No. 2)
Asymmetric unit:
Cu 0.000 0.000 0.000
Cu 0.500 0.500 0.000
Ag 0.000 0.500 0.500
O 0.168 0.729 0.781
O 0.303 0.744 0.228

Main lines, by angle (5 to 70 degrees two-theta):
| d [Å] | I (rel.) |
| --- | --- |
| 4.691 | 76 |
| 3.729 | 39 |
| 3.690 | 43 |
| 2.812 | 80 |
| 2.610 | 43 |
| 2.592 | 100 |
| 2.467 | 48 |
| 2.345 | 31 |
| 2.339 | 62 |
| 1.865 | 41 |